1.
Diffraction record for Sr3Tb. The powder diffraction line list is theoretical, not measured: it uses a crystal structure in the Materials Project, relaxed with PBE and Cu Kα (weighted mean of Kα1 and Kα2).
Peak positions follow from Bragg's law for the DFT cell and can differ from measured ones.

Structure:
```
data_Sr3Tb
_space_group_name_H-M_alt 'P 63/m m c'
_space_group_IT_number 194
_space_group_name_Hall '-P 6c 2c'
_cell_length_a 8.1372
_cell_length_b 8.1372
_cell_length_c 6.5358
_cell_angle_alpha 90.00
_cell_angle_beta 90.00
_cell_angle_gamma 120.00
loop_
_atom_site_label
_atom_site_fract_x
_atom_site_fract_y
_atom_site_fract_z
Sr1 0.1717 0.3435 0.2500
Tb1 0.3333 0.6667 0.7500
```

The 10 most intense peaks (2θ from 10° to 90°), by angle:
(hkl), two_theta, intensity
2 0 0, 25.28, 23
0 0 2, 27.29, 26
2 0 1, 28.78, 100
2 0 2, 37.54, 16
2 2 0, 44.54, 20
2 0 3, 49.17, 23
2 2 2, 53.02, 24
4 0 1, 53.90, 17
4 2 1, 72.42, 14
4 2 3, 85.45, 9

2.
Diffraction record for SrTe. The powder diffraction line list is theoretical, not measured: it uses a crystal structure in the Materials Project, relaxed with PBE and Cu Kα (weighted mean of Kα1 and Kα2).
Peak positions follow from Bragg's law for the DFT cell and can differ from measured ones.

Structure:
```
data_SrTe
_space_group_name_H-M_alt 'P m -3 m'
_space_group_IT_number 221
_space_group_name_Hall '-P 4 2 3'
_cell_length_a 4.0879
_cell_length_b 4.0879
_cell_length_c 4.0879
_cell_angle_alpha 90.00
_cell_angle_beta 90.00
_cell_angle_gamma 90.00
loop_
_atom_site_label
_atom_site_fract_x
_atom_site_fract_y
_atom_site_fract_z
Sr1 0.0000 0.0000 0.0000
Te1 0.5000 0.5000 0.5000
```

The 10 most intense peaks (2θ from 10° to 90°), by angle:
(hkl), two_theta, intensity
1 0 0, 21.74, 3
1 1 0, 30.94, 100
1 1 1, 38.13, 1
2 0 0, 44.32, 18
2 1 0, 49.88, 1
2 1 1, 55.02, 39
2 2 0, 64.47, 12
3 1 0, 73.22, 16
2 2 2, 81.58, 4
3 2 1, 89.76, 20

3.
Diffraction record for SrTe. The powder diffraction line list is theoretical, not measured: it uses a crystal structure in the Materials Project, relaxed with PBE and Cu Kα (weighted mean of Kα1 and Kα2).
Peak positions follow from Bragg's law for the DFT cell and can differ from measured ones.

Structure:
```
data_SrTe
_space_group_name_H-M_alt 'F m -3 m'
_space_group_IT_number 225
_space_group_name_Hall '-F 4 2 3'
_cell_length_a 6.7241
_cell_length_b 6.7241
_cell_length_c 6.7241
_cell_angle_alpha 90.00
_cell_angle_beta 90.00
_cell_angle_gamma 90.00
loop_
_atom_site_label
_atom_site_fract_x
_atom_site_fract_y
_atom_site_fract_z
Sr1 0.0000 0.0000 0.0000
Te1 0.0000 0.0000 0.5000
```

The 10 most intense peaks (2θ from 10° to 90°), by angle:
(hkl), two_theta, intensity
1 1 1, 22.91, 5
2 0 0, 26.51, 100
2 2 0, 37.84, 77
3 1 1, 44.70, 3
2 2 2, 46.80, 28
4 0 0, 54.59, 13
4 2 0, 61.69, 36
4 2 2, 68.34, 27
4 4 0, 80.87, 8
6 0 0, 86.93, 18

4.
Diffraction record for SrTl. The powder diffraction line list is theoretical, not measured: it uses a crystal structure in the Materials Project, relaxed with PBE and Cu Kα (weighted mean of Kα1 and Kα2).
Peak positions follow from Bragg's law for the DFT cell and can differ from measured ones.

Structure:
```
data_SrTl
_space_group_name_H-M_alt 'P m -3 m'
_space_group_IT_number 221
_space_group_name_Hall '-P 4 2 3'
_cell_length_a 4.1168
_cell_length_b 4.1168
_cell_length_c 4.1168
_cell_angle_alpha 90.00
_cell_angle_beta 90.00
_cell_angle_gamma 90.00
loop_
_atom_site_label
_atom_site_fract_x
_atom_site_fract_y
_atom_site_fract_z
Sr1 0.0000 0.0000 0.0000
Tl1 0.5000 0.5000 0.5000
```

The 10 most intense peaks (2θ from 10° to 90°), by angle:
(hkl), two_theta, intensity
1 0 0, 21.59, 17
1 1 0, 30.71, 100
1 1 1, 37.85, 6
2 0 0, 43.99, 19
2 1 0, 49.51, 8
2 1 1, 54.61, 40
2 2 0, 63.97, 12
3 1 0, 72.62, 17
2 2 2, 80.89, 4
3 2 1, 88.96, 21

5.
Diffraction record for SrTl3. The powder diffraction line list is theoretical, not measured: it uses a crystal structure in the Materials Project, relaxed with PBE and Cu Kα (weighted mean of Kα1 and Kα2).
Peak positions follow from Bragg's law for the DFT cell and can differ from measured ones.

Structure:
```
data_SrTl3
_space_group_name_H-M_alt 'P m -3 m'
_space_group_IT_number 221
_space_group_name_Hall '-P 4 2 3'
_cell_length_a 5.0220
_cell_length_b 5.0220
_cell_length_c 5.0220
_cell_angle_alpha 90.00
_cell_angle_beta 90.00
_cell_angle_gamma 90.00
loop_
_atom_site_label
_atom_site_fract_x
_atom_site_fract_y
_atom_site_fract_z
Sr1 0.0000 0.0000 0.0000
Tl1 0.0000 0.5000 0.5000
```

The 10 most intense peaks (2θ from 10° to 90°), by angle:
(hkl), two_theta, intensity
1 0 0, 17.66, 7
1 1 0, 25.08, 6
1 1 1, 30.84, 100
2 0 0, 35.76, 51
2 2 0, 51.47, 37
3 1 1, 61.21, 44
2 2 2, 64.25, 13
4 0 0, 75.76, 6
3 3 1, 84.00, 18
4 2 0, 86.71, 17

6.
Diffraction record for SrTl3. The powder diffraction line list is theoretical, not measured: it uses a crystal structure in the Materials Project, relaxed with PBE and Cu Kα (weighted mean of Kα1 and Kα2).
Peak positions follow from Bragg's law for the DFT cell and can differ from measured ones.

Structure:
```
data_SrTl3
_space_group_name_H-M_alt 'P 63/m m c'
_space_group_IT_number 194
_space_group_name_Hall '-P 6c 2c'
_cell_length_a 7.2872
_cell_length_b 7.2872
_cell_length_c 5.5863
_cell_angle_alpha 90.00
_cell_angle_beta 90.00
_cell_angle_gamma 120.00
loop_
_atom_site_label
_atom_site_fract_x
_atom_site_fract_y
_atom_site_fract_z
Sr1 0.3333 0.6667 0.2500
Tl1 0.1608 0.3217 0.7500
```

The 10 most intense peaks (2θ from 10° to 90°), by angle:
(hkl), two_theta, intensity
2 0 0, 28.28, 24
0 0 2, 32.04, 23
2 0 1, 32.59, 100
2 0 2, 43.26, 15
2 2 0, 50.07, 20
2 0 3, 57.46, 20
2 2 2, 60.69, 23
4 0 1, 61.03, 16
4 2 1, 82.75, 14
2 2 4, 88.14, 8